Li3FeB2O6: computed powder diffractogram (Cu Kα, 1.54184 Å), based on the PBE+U geometry in the Materials Project.
No peak broadening, texture or thermal motion is included.

Top 12 peaks for 2θ from 10° to 80°, low angle first:
two_theta, I_rel
12.1, 204
17.2, 329
18.2, 1000
20.3, 209
23.6, 527
30.5, 252
33.7, 308
37.1, 168
37.5, 260
38.6, 189
40.1, 269
41.2, 178

```
Li3FeB2O6
1.0
8.178 0.000 0.000
0.000 6.376 0.000
-4.433 0.000 8.770
Li Fe B O
12 4 8 24
Direct
0.076 0.247 0.482 Li
0.076 0.253 0.982 Li
0.230 0.550 0.678 Li
0.230 0.950 0.178 Li
0.337 0.723 0.034 Li
0.337 0.777 0.534 Li
0.663 0.223 0.466 Li
0.663 0.277 0.966 Li
0.770 0.050 0.822 Li
0.770 0.450 0.322 Li
0.924 0.747 0.018 Li
0.924 0.753 0.518 Li
0.317 0.042 0.820 Fe
0.317 0.458 0.320 Fe
0.683 0.542 0.680 Fe
0.683 0.958 0.180 Fe
0.038 0.658 0.313 B
0.038 0.842 0.813 B
0.426 0.167 0.616 B
0.426 0.333 0.116 B
0.574 0.667 0.884 B
0.574 0.833 0.384 B
0.962 0.158 0.187 B
0.962 0.342 0.687 B
0.123 0.694 0.221 O
0.123 0.806 0.721 O
0.137 0.219 0.217 O
0.137 0.281 0.717 O
0.148 0.547 0.446 O
0.148 0.953 0.946 O
0.271 0.052 0.548 O
0.271 0.448 0.048 O
0.478 0.648 0.726 O
0.478 0.852 0.226 O
0.491 0.195 0.040 O
0.491 0.305 0.540 O
0.509 0.695 0.460 O
0.509 0.805 0.960 O
0.522 0.148 0.774 O
0.522 0.352 0.274 O
0.729 0.552 0.952 O
0.729 0.948 0.452 O
0.852 0.047 0.054 O
0.852 0.453 0.554 O
0.863 0.719 0.283 O
0.863 0.781 0.783 O
0.877 0.194 0.279 O
0.877 0.306 0.779 O
```


SrMnInWO6: computed powder diffractogram (Cu Kα, 1.54184 Å), based on the PBE+U geometry in the Materials Project.
No peak broadening, texture or thermal motion is included.

Top 12 peaks for 2θ from 10° to 80°, low angle first:
two_theta, I_rel
18.9, 235
21.9, 34
31.1, 1000
36.7, 123
44.6, 314
48.9, 51
55.4, 393
59.1, 49
64.9, 189
68.3, 48
73.8, 171
77.0, 16

```
SrMnInWO6
1.0
0.000 4.062 4.062
4.062 0.000 4.062
4.062 4.062 0.000
Sr Mn In W O
1 1 1 1 6
Direct
0.000 0.000 0.000 Sr
0.750 0.750 0.750 Mn
0.500 0.500 0.500 In
0.250 0.250 0.250 W
0.010 0.010 0.490 O
0.010 0.490 0.010 O
0.010 0.490 0.490 O
0.490 0.010 0.010 O
0.490 0.010 0.490 O
0.490 0.490 0.010 O
```


V3P2O8: computed powder diffractogram (Cu Kα, 1.54184 Å), based on the PBE+U geometry in the Materials Project.
No peak broadening, texture or thermal motion is included.

Top 12 peaks for 2θ from 10° to 80°, low angle first:
two_theta, I_rel
26.8, 895
29.0, 136
29.4, 202
31.3, 288
31.6, 1000
32.0, 440
32.6, 174
36.4, 179
40.0, 248
40.5, 186
45.8, 181
56.9, 171

```
V3P2O8
1.0
8.790 0.000 0.000
-3.724 8.576 0.000
-0.410 -4.936 8.351
V P O
12 8 32
Direct
0.002 0.268 0.035 V
0.070 0.340 0.392 V
0.115 0.189 0.662 V
0.398 0.476 0.238 V
0.403 0.801 0.824 V
0.481 0.107 0.674 V
0.519 0.893 0.326 V
0.597 0.199 0.176 V
0.602 0.524 0.762 V
0.885 0.811 0.338 V
0.930 0.660 0.608 V
0.998 0.732 0.965 V
0.176 0.685 0.432 P
0.236 0.064 0.898 P
0.275 0.563 0.950 P
0.317 0.171 0.404 P
0.683 0.829 0.596 P
0.725 0.437 0.050 P
0.764 0.936 0.102 P
0.824 0.315 0.568 P
0.005 0.695 0.416 O
0.072 0.883 0.846 O
0.110 0.381 0.894 O
0.132 0.044 0.398 O
0.161 0.507 0.284 O
0.190 0.657 0.580 O
0.222 0.222 0.035 O
0.227 0.709 0.958 O
0.249 0.085 0.748 O
0.309 0.320 0.376 O
0.326 0.853 0.451 O
0.369 0.534 0.814 O
0.386 0.625 0.113 O
0.400 0.056 0.953 O
0.404 0.075 0.286 O
0.421 0.260 0.581 O
0.579 0.740 0.419 O
0.596 0.925 0.714 O
0.600 0.944 0.047 O
0.614 0.375 0.887 O
0.631 0.466 0.186 O
0.674 0.147 0.549 O
0.691 0.680 0.624 O
0.751 0.915 0.252 O
0.773 0.291 0.042 O
0.778 0.778 0.965 O
0.810 0.343 0.420 O
0.839 0.493 0.716 O
0.868 0.956 0.602 O
0.890 0.619 0.106 O
0.928 0.117 0.154 O
0.995 0.305 0.584 O
```


NaNiPO4: computed powder diffractogram (Cu Kα, 1.54184 Å), based on the PBE+U geometry in the Materials Project.
No peak broadening, texture or thermal motion is included.

Top 12 peaks for 2θ from 10° to 80°, low angle first:
two_theta, I_rel
19.6, 332
33.1, 1000
33.5, 387
34.0, 114
36.1, 481
48.4, 352
51.1, 131
54.3, 137
59.6, 137
62.5, 178
64.2, 170
66.9, 172

```
NaNiPO4
1.0
2.678 -4.211 0.000
2.678 4.211 0.000
0.000 0.000 6.762
Na Ni P O
2 2 2 8
Direct
0.187 0.813 0.750 Na
0.813 0.187 0.250 Na
0.500 0.500 0.000 Ni
0.500 0.500 0.500 Ni
0.163 0.837 0.250 P
0.837 0.163 0.750 P
0.186 0.290 0.750 O
0.268 0.732 0.065 O
0.268 0.732 0.435 O
0.290 0.186 0.250 O
0.710 0.814 0.750 O
0.732 0.268 0.565 O
0.732 0.268 0.935 O
0.814 0.710 0.250 O
```